# 1
Simulated powder X-ray diffraction pattern of TbEr2Sc3Bi6 for CuKα, from a DFT-relaxed cell (GGA-PBE, Alexandria).
Peak positions follow from Bragg's law for the DFT cell and can differ from measured ones.

Structural model:
Cell lengths 7.565, 7.565, 7.555 Å; angles 99.60, 99.60, 120.02 degrees
Atoms (fractional coordinates):
Tb (0.000, 0.000, 0.000)
Er (0.333, 0.667, 0.000)
Er (0.667, 0.333, 0.000)
Sc (0.166, 0.834, 0.500)
Sc (0.500, 0.500, 0.500)
Sc (0.834, 0.166, 0.500)
Bi (0.088, 0.423, 0.264)
Bi (0.248, 0.248, 0.737)
Bi (0.423, 0.088, 0.264)
Bi (0.577, 0.912, 0.736)
Bi (0.752, 0.752, 0.263)
Bi (0.912, 0.577, 0.736)

Principal peaks in the range 2θ from 15° to 90°, sorted by position:
Position (°2θ), I (rel.)
23.9, 7
25.0, 20
28.9, 100
31.6, 6
41.4, 77
48.9, 10
51.3, 27
59.9, 13
67.9, 35
75.4, 20



# 2
Simulated powder X-ray diffraction pattern of CeZnAgP2 for CuKα, from a DFT-relaxed cell (GGA-PBE, Alexandria).
Peak positions follow from Bragg's law for the DFT cell and can differ from measured ones.

Structural model:
Cell lengths 4.163, 4.163, 6.752 Å; angles 90.00, 90.00, 120.00 degrees
Atoms (fractional coordinates):
Ce (0.000, 0.000, 0.000)
Zn (0.333, 0.667, 0.621)
Ag (0.667, 0.333, 0.357)
P (0.333, 0.667, 0.239)
P (0.667, 0.333, 0.745)

Principal peaks in the range 2θ from 15° to 90°, sorted by position:
Position (°2θ), I (rel.)
28.1, 100
36.5, 65
40.1, 11
43.5, 49
47.6, 14
52.5, 17
58.0, 16
60.6, 30
70.5, 14
75.2, 21